1.
This entry pairs a crystal structure of Mg5Si9 with its simulated PXRD pattern. Radiation: λ = 1.5418 Å (Cu Kα). Structure: a PBE-relaxed structure.

The 10 most intense peaks (2θ from 5° to 70°), by intensity:
| 2θ/deg | I_rel |
| --- | --- |
| 37.48 | 100.0 |
| 39.75 | 73.7 |
| 37.86 | 57.9 |
| 35.18 | 57.4 |
| 35.49 | 56.1 |
| 39.03 | 52.2 |
| 41.66 | 43.9 |
| 38.11 | 40.0 |
| 38.72 | 31.2 |
| 35.87 | 29.5 |

abc: 5.844 7.189 12.963
angles: 86.39 77.21 70.83
Fractional coordinates of all 28 atoms:
Mg 0.000 0.000 0.000
Mg 0.002 0.615 0.892
Mg 0.020 0.914 0.470
Mg 0.417 0.810 0.819
Mg 0.438 0.603 0.318
Mg 0.514 0.981 0.008
Mg 0.563 0.291 0.152
Mg 0.636 0.477 0.512
Mg 0.720 0.337 0.862
Mg 0.968 0.537 0.295
Si 0.136 0.470 0.490
Si 0.146 0.138 0.213
Si 0.160 0.806 0.182
Si 0.161 0.357 0.057
Si 0.187 0.759 0.666
Si 0.200 0.253 0.643
Si 0.229 0.228 0.868
Si 0.313 0.198 0.365
Si 0.390 0.630 0.015
Si 0.431 0.423 0.719
Si 0.522 0.923 0.603
Si 0.582 0.879 0.408
Si 0.721 0.893 0.193
Si 0.744 0.599 0.103
Si 0.752 0.208 0.343
Si 0.811 0.943 0.800
Si 0.835 0.150 0.651
Si 0.839 0.631 0.671

2.
This entry pairs a crystal structure of MgSi2 with its simulated PXRD pattern. Radiation: λ = 1.5418 Å (Cu Kα). Structure: a PBE-relaxed structure.

The 10 most intense peaks (2θ from 5° to 70°), by intensity:
| 2θ/deg | I_rel |
| --- | --- |
| 35.10 | 100.0 |
| 35.89 | 96.5 |
| 40.65 | 73.1 |
| 42.55 | 59.2 |
| 43.51 | 58.9 |
| 39.52 | 53.6 |
| 51.17 | 43.8 |
| 19.56 | 35.4 |
| 6.49 | 21.0 |
| 50.98 | 20.6 |

abc: 3.574 4.613 13.732
angles: 86.18 82.70 70.02
Fractional coordinates of all 12 atoms:
Mg 0.000 0.000 0.000
Mg 0.001 0.683 0.321
Mg 0.003 0.368 0.642
Mg 0.502 0.184 0.821
Si 0.221 0.421 0.109
Si 0.247 0.751 0.760
Si 0.258 0.127 0.415
Si 0.487 0.550 0.482
Si 0.516 0.817 0.161
Si 0.746 0.239 0.228
Si 0.756 0.617 0.883
Si 0.782 0.946 0.533

3.
This entry pairs a crystal structure of Si9Ni25 with its simulated PXRD pattern. Radiation: λ = 1.5418 Å (Cu Kα). Structure: a PBE-relaxed structure.

The 10 most intense peaks (2θ from 5° to 70°), by intensity:
| 2θ/deg | I_rel |
| --- | --- |
| 46.51 | 100.0 |
| 47.12 | 86.8 |
| 42.38 | 41.1 |
| 42.05 | 36.5 |
| 50.50 | 21.0 |
| 45.56 | 16.5 |
| 68.36 | 12.2 |
| 32.63 | 11.6 |
| 41.28 | 7.8 |
| 49.92 | 7.2 |

abc: 6.681 6.681 9.627
angles: 90.00 90.00 120.00
Fractional coordinates of all 34 atoms:
Si 0.000 0.000 0.000
Si 0.010 0.671 0.323
Si 0.329 0.338 0.323
Si 0.333 0.667 0.022
Si 0.338 0.010 0.677
Si 0.662 0.990 0.323
Si 0.667 0.333 0.978
Si 0.671 0.662 0.677
Si 0.990 0.329 0.677
Ni 0.000 0.000 0.244
Ni 0.000 0.000 0.500
Ni 0.000 0.000 0.756
Ni 0.051 0.341 0.924
Ni 0.065 0.686 0.568
Ni 0.078 0.406 0.187
Ni 0.291 0.949 0.924
Ni 0.314 0.378 0.568
Ni 0.329 0.922 0.187
Ni 0.333 0.667 0.393
Ni 0.333 0.667 0.761
Ni 0.341 0.291 0.076
Ni 0.378 0.065 0.432
Ni 0.406 0.329 0.813
Ni 0.594 0.671 0.187
Ni 0.622 0.935 0.568
Ni 0.659 0.709 0.924
Ni 0.667 0.333 0.239
Ni 0.667 0.333 0.607
Ni 0.671 0.078 0.813
Ni 0.686 0.622 0.432
Ni 0.709 0.051 0.076
Ni 0.922 0.594 0.813
Ni 0.935 0.314 0.432
Ni 0.949 0.659 0.076